# 1
Starting from the PBE geometry in Alexandria, the powder X-ray diffraction pattern of La6Nd3Cd was calculated for Cu Kα, 1.54184 Å.
Neutral-atom scattering factors, no anomalous dispersion.

Largest 6 diffraction maxima, by angle, 2θ = 10–80°:
| Position (°2θ) | I (rel.) |
| --- | --- |
| 28.49 | 100 |
| 29.85 | 71 |
| 30.75 | 59 |
| 32.44 | 60 |
| 33.81 | 32 |
| 47.56 | 24 |

Structural model:
a b c (Å): 10.6875 12.2153 5.5196
angles (deg): 90.00 90.00 90.00
Fractional positions:
La (0.0712, 0.2501, 0.0000)
La (0.1705, 0.0806, 0.5000)
La (0.2131, 0.3877, 0.5000)
La (0.2869, 0.8877, 0.0000)
La (0.3295, 0.5806, 0.0000)
La (0.4288, 0.7501, 0.5000)
La (0.5712, 0.2499, 0.5000)
La (0.6705, 0.4194, 0.0000)
La (0.7131, 0.1123, 0.0000)
La (0.7869, 0.6123, 0.5000)
La (0.8295, 0.9194, 0.5000)
La (0.9288, 0.7499, 0.0000)
Nd (0.0000, 0.5000, 0.0000)
Nd (0.1186, 0.7185, 0.5000)
Nd (0.3814, 0.2185, 0.0000)
Nd (0.5000, 0.0000, 0.5000)
Nd (0.6186, 0.7815, 0.0000)
Nd (0.8814, 0.2815, 0.5000)
Cd (0.0000, 0.0000, 0.0000)
Cd (0.5000, 0.5000, 0.5000)



# 2
Starting from the PBE geometry in Alexandria, the powder X-ray diffraction pattern of La4Nd3Cd2 was calculated for Cu Kα, 1.54184 Å.
Neutral-atom scattering factors, no anomalous dispersion.

Largest 6 diffraction maxima, by angle, 2θ = 10–80°:
| Position (°2θ) | I (rel.) |
| --- | --- |
| 30.42 | 100 |
| 34.16 | 18 |
| 34.37 | 19 |
| 37.21 | 14 |
| 51.54 | 16 |
| 59.13 | 15 |

Structural model:
a b c (Å): 8.2954 8.2954 7.7198
angles (deg): 109.05 109.05 36.66
Fractional positions:
La (0.0523, 0.0523, 0.3340)
La (0.2780, 0.2780, 0.6935)
La (0.7220, 0.7220, 0.3065)
La (0.9477, 0.9477, 0.6660)
Nd (0.3838, 0.3838, 0.3185)
Nd (0.5000, 0.5000, 0.0000)
Nd (0.6162, 0.6162, 0.6815)
Cd (0.1588, 0.1588, 0.9980)
Cd (0.8412, 0.8412, 0.0020)